# 1
Ca2MnFe: calculated powder diffraction line list (Cu Kα X-rays), based on a cell relaxed with GGA-PBE.

Structural model:
abc: 3.9840 4.3635 11.1894
angles: 90.00 90.00 90.00
Space group Amm2 (No. 38)
Asymmetric unit:
Ca1 0.0000 0.0000 0.0000 [2 per cell]
Ca2 0.5000 0.0000 0.2846 [2 per cell]
Mn1 0.5000 0.0000 0.5841 [2 per cell]
Fe1 0.0000 0.0000 0.7019 [2 per cell]

Most intense lines, 2θ = 10–90°, in order of rising 2θ:
(0 0 2), 2θ = 15.84°, 5.595 Å, rel. 52.9
(0 1 1), 2θ = 21.86°, 4.065 Å, rel. 32.1
(1 1 1), 2θ = 31.44°, 2.845 Å, rel. 100.0
(0 1 3), 2θ = 31.56°, 2.835 Å, rel. 68.8
(1 1 3), 2θ = 38.99°, 2.310 Å, rel. 91.9
(1 0 4), 2θ = 39.36°, 2.289 Å, rel. 51.0
(0 2 0), 2θ = 41.38°, 2.182 Å, rel. 38.5
(2 0 0), 2θ = 45.54°, 1.992 Å, rel. 28.8
(2 1 3), 2θ = 56.46°, 1.630 Å, rel. 22.8
(1 2 4), 2θ = 58.43°, 1.579 Å, rel. 28.8

=====

# 2
ErZn12Ni7: calculated powder diffraction line list (Cu Kα X-rays), based on a cell relaxed with GGA-PBE.

Structural model:
abc: 8.7324 8.7324 8.7324
angles: 90.00 90.00 90.00
Space group Im-3 (No. 204)
Asymmetric unit:
Er1 0.0000 0.0000 0.0000 [2 per cell]
Zn1 0.0000 0.2385 0.3451 [24 per cell]
Ni1 0.0000 0.0000 0.5000 [6 per cell]
Ni2 0.2500 0.2500 0.2500 [8 per cell]

Most intense lines, 2θ = 10–90°, in order of rising 2θ:
(2 1 1), 2θ = 24.98°, 3.565 Å, rel. 60.9
(2 2 0), 2θ = 28.92°, 3.087 Å, rel. 42.5
(3 1 0), 2θ = 32.42°, 2.761 Å, rel. 54.4
(2 2 2), 2θ = 35.61°, 2.521 Å, rel. 23.9
(3 2 1), 2θ = 38.58°, 2.334 Å, rel. 38.5
(4 0 0), 2θ = 41.36°, 2.183 Å, rel. 65.6
(4 2 0), 2θ = 46.51°, 1.953 Å, rel. 45.9
(4 2 2), 2θ = 51.25°, 1.782 Å, rel. 100.0
(5 0 3), 2θ = 61.96°, 1.498 Å, rel. 20.4
(6 2 4), 2θ = 82.70°, 1.167 Å, rel. 52.3

=====

# 3
Li3Zn4Ni2: calculated powder diffraction line list (Cu Kα X-rays), based on a cell relaxed with GGA-PBE.

Structural model:
abc: 4.1679 4.1679 7.7748
angles: 90.00 90.00 120.00
Space group P-3m1 (No. 164)
Asymmetric unit:
Li1 0.0000 0.0000 0.0000 [1 per cell]
Li2 0.3333 0.6667 0.4489 [2 per cell]
Zn1 0.0000 0.0000 0.3240 [2 per cell]
Zn2 0.3333 0.6667 0.1183 [2 per cell]
Ni1 0.3333 0.6667 0.7886 [2 per cell]

Most intense lines, 2θ = 10–90°, in order of rising 2θ:
(0 0 1), 2θ = 11.38°, 7.775 Å, rel. 21.7
(0 0 2), 2θ = 22.88°, 3.887 Å, rel. 30.3
(0 1 1), 2θ = 27.24°, 3.274 Å, rel. 59.1
(0 1 3), 2θ = 42.96°, 2.105 Å, rel. 100.0
(1 1 0), 2θ = 43.42°, 2.084 Å, rel. 98.6
(1 1 2), 2θ = 49.64°, 1.837 Å, rel. 21.4
(2 0 3), 2θ = 62.74°, 1.481 Å, rel. 30.4
(1 0 6), 2θ = 78.41°, 1.220 Å, rel. 14.1
(1 2 3), 2θ = 79.37°, 1.207 Å, rel. 29.3
(3 0 0), 2θ = 79.70°, 1.203 Å, rel. 14.7

=====

# 4
Cd2In2GaHg7: calculated powder diffraction line list (Cu Kα X-rays), based on a cell relaxed with GGA-PBE.

Structural model:
abc: 19.9368 5.2183 5.9662
angles: 90.00 96.43 90.00
Space group Cm (No. 8)
Asymmetric unit:
Cd1 0.0000 0.0000 0.0000 [2 per cell]
Cd2 0.0055 0.5000 0.6468 [2 per cell]
In1 0.0811 0.5000 0.2005 [2 per cell]
In2 0.4245 0.5000 0.4461 [2 per cell]
Ga1 0.2526 0.0000 0.8227 [2 per cell]
Hg1 0.0907 0.0000 0.6123 [2 per cell]
Hg2 0.1696 0.0000 0.1952 [2 per cell]
Hg3 0.1714 0.5000 0.7591 [2 per cell]
Hg4 0.2528 0.5000 0.3232 [2 per cell]
Hg5 0.3340 0.5000 0.8874 [2 per cell]
Hg6 0.3361 0.0000 0.4515 [2 per cell]
Hg7 0.4147 0.0000 0.0341 [2 per cell]

Most intense lines, 2θ = 10–90°, in order of rising 2θ:
(2 0 -2), 2θ = 30.49°, 2.932 Å, rel. 49.6
(5 1 1), 2θ = 33.33°, 2.688 Å, rel. 100.0
(0 2 0), 2θ = 34.37°, 2.609 Å, rel. 49.2
(1 1 -2), 2θ = 34.66°, 2.588 Å, rel. 13.9
(7 1 -1), 2θ = 37.81°, 2.379 Å, rel. 69.3
(2 2 -2), 2θ = 46.60°, 1.949 Å, rel. 31.5
(3 1 3), 2θ = 52.82°, 1.733 Å, rel. 15.4
(5 3 1), 2θ = 60.90°, 1.521 Å, rel. 17.8
(7 3 -1), 2θ = 63.85°, 1.458 Å, rel. 15.0
(12 2 0), 2θ = 67.09°, 1.395 Å, rel. 13.5

=====

# 5
Zr2MnTc3: calculated powder diffraction line list (Cu Kα X-rays), based on a cell relaxed with GGA-PBE.

Structural model:
abc: 5.1998 5.1998 13.0161
angles: 90.00 90.00 120.00
Space group R-3m (No. 166, hexagonal axes)
Asymmetric unit:
Zr1 0.0000 0.0000 0.1231 [6 per cell]
Mn1 0.0000 0.0000 0.5000 [3 per cell]
Tc1 0.0000 0.5000 0.0000 [9 per cell]

Most intense lines, 2θ = 10–90°, in order of rising 2θ:
(1 0 4), 2θ = 33.99°, 2.637 Å, rel. 54.0
(0 1 5), 2θ = 40.01°, 2.254 Å, rel. 56.2
(1 1 3), 2θ = 40.45°, 2.230 Å, rel. 100.0
(0 2 1), 2θ = 40.67°, 2.219 Å, rel. 88.4
(0 0 6), 2θ = 41.63°, 2.169 Å, rel. 22.7
(2 0 2), 2θ = 42.48°, 2.128 Å, rel. 70.8
(1 2 5), 2θ = 65.53°, 1.425 Å, rel. 24.7
(3 0 3), 2θ = 65.84°, 1.419 Å, rel. 22.3
(2 0 8), 2θ = 71.55°, 1.319 Å, rel. 32.1
(2 2 0), 2θ = 72.75°, 1.300 Å, rel. 30.6

=====

# 6
Tb4Pm3TmS8: calculated powder diffraction line list (Cu Kα X-rays), based on a cell relaxed with GGA-PBE.

Structural model:
abc: 7.9172 7.9172 19.3960
angles: 90.00 90.00 120.00
Space group R-3m (No. 166, hexagonal axes)
Asymmetric unit:
Tb1 0.0000 0.0000 0.0000 [3 per cell]
Tb2 0.0000 0.5000 0.0000 [9 per cell]
Pm1 0.0000 0.5000 0.5000 [9 per cell]
Tm1 0.0000 0.0000 0.5000 [3 per cell]
S1 0.0000 0.0000 0.2535 [6 per cell]
S2 0.0088 0.5044 0.2512 [18 per cell]

Most intense lines, 2θ = 10–90°, in order of rising 2θ:
(2 0 2), 2θ = 27.60°, 3.232 Å, rel. 79.8
(0 2 4), 2θ = 31.97°, 2.799 Å, rel. 100.0
(2 2 0), 2θ = 45.84°, 1.979 Å, rel. 72.1
(2 2 6), 2θ = 54.35°, 1.688 Å, rel. 39.3
(4 0 4), 2θ = 56.98°, 1.616 Å, rel. 25.0
(0 4 8), 2θ = 66.84°, 1.400 Å, rel. 11.5
(4 2 2), 2θ = 73.77°, 1.284 Å, rel. 16.0
(2 4 4), 2θ = 76.02°, 1.252 Å, rel. 31.9
(6 0 0), 2θ = 84.84°, 1.143 Å, rel. 24.5

=====

# 7
NdSm3Er3Te8: calculated powder diffraction line list (Cu Kα X-rays), based on a cell relaxed with GGA-PBE.

Structural model:
abc: 8.7397 8.7397 21.4247
angles: 90.00 90.00 120.00
Space group R-3m (No. 166, hexagonal axes)
Asymmetric unit:
Nd1 0.0000 0.0000 0.0000 [3 per cell]
Sm1 0.0000 0.5000 0.5000 [9 per cell]
Er1 0.0000 0.5000 0.0000 [9 per cell]
Te1 0.0000 0.0000 0.2534 [6 per cell]
Te2 0.0181 0.5091 0.2489 [18 per cell]

Most intense lines, 2θ = 10–90°, in order of rising 2θ:
(0 1 2), 2θ = 14.33°, 6.182 Å, rel. 3.4
(0 2 1), 2θ = 23.87°, 3.727 Å, rel. 3.9
(0 2 4), 2θ = 28.89°, 3.091 Å, rel. 100.0
(1 0 7), 2θ = 31.54°, 2.836 Å, rel. 3.7
(2 0 8), 2θ = 41.31°, 2.185 Å, rel. 75.2
(0 0 12), 2θ = 51.19°, 1.784 Å, rel. 26.6
(0 4 8), 2θ = 59.85°, 1.545 Å, rel. 12.3
(2 2 12), 2θ = 67.80°, 1.382 Å, rel. 33.4
(0 2 16), 2θ = 75.32°, 1.262 Å, rel. 24.4
(4 0 16), 2θ = 89.74°, 1.093 Å, rel. 8.0

=====

# 8
Mn2BeMo: calculated powder diffraction line list (Cu Kα X-rays), based on a cell relaxed with GGA-PBE.

Structural model:
abc: 5.0054 8.1634 2.5453
angles: 90.00 113.90 90.00
Space group C2/m (No. 12)
Asymmetric unit:
Mn1 0.2500 0.2500 0.0000 [4 per cell]
Be1 0.0000 0.0000 0.5000 [2 per cell]
Mo1 0.0000 0.5000 0.5000 [2 per cell]

Most intense lines, 2θ = 10–90°, in order of rising 2θ:
(1 1 0), 2θ = 22.27°, 3.992 Å, rel. 100.0
(1 1 -1), 2θ = 37.22°, 2.416 Å, rel. 26.6
(1 3 0), 2θ = 38.49°, 2.339 Å, rel. 24.2
(2 0 -1), 2θ = 42.75°, 2.115 Å, rel. 48.6
(0 4 0), 2θ = 44.39°, 2.041 Å, rel. 43.3
(0 2 1), 2θ = 44.84°, 2.022 Å, rel. 84.0
(2 2 0), 2θ = 45.44°, 1.996 Å, rel. 80.5
(2 4 -1), 2θ = 63.32°, 1.469 Å, rel. 28.1
(2 2 -2), 2θ = 79.32°, 1.208 Å, rel. 14.4
(2 4 1), 2θ = 85.02°, 1.141 Å, rel. 14.5

=====

# 9
DyCu4As2: calculated powder diffraction line list (Cu Kα X-rays), based on a cell relaxed with GGA-PBE.

Structural model:
abc: 7.4413 7.4413 3.9420
angles: 90.00 90.00 90.00
Space group P4_2/mnm (No. 136)
Asymmetric unit:
Dy1 0.0000 0.0000 0.0000 [2 per cell]
Cu1 0.0874 0.3443 0.5000 [8 per cell]
As1 0.2118 0.7882 0.5000 [4 per cell]

Most intense lines, 2θ = 10–90°, in order of rising 2θ:
(2 2 0), 2θ = 34.08°, 2.631 Å, rel. 20.3
(2 1 1), 2θ = 35.30°, 2.543 Å, rel. 100.0
(3 1 0), 2θ = 38.25°, 2.353 Å, rel. 35.8
(2 2 1), 2θ = 41.26°, 2.188 Å, rel. 29.6
(3 1 1), 2θ = 44.86°, 2.021 Å, rel. 39.8
(0 0 2), 2θ = 46.05°, 1.971 Å, rel. 27.5
(4 1 0), 2θ = 50.57°, 1.805 Å, rel. 16.7
(3 1 2), 2θ = 61.36°, 1.511 Å, rel. 17.3
(4 3 1), 2θ = 67.24°, 1.392 Å, rel. 19.5
(4 1 2), 2θ = 70.79°, 1.331 Å, rel. 11.5

=====

# 10
Sm3YSb4: calculated powder diffraction line list (Cu Kα X-rays), based on a cell relaxed with GGA-PBE.

Structural model:
abc: 6.2927 6.2927 6.2927
angles: 90.00 90.00 90.00
Space group Pm-3m (No. 221)
Asymmetric unit:
Sm1 0.0000 0.0000 0.5000 [3 per cell]
Y1 0.5000 0.5000 0.5000 [1 per cell]
Sb1 0.0000 0.0000 0.0000 [1 per cell]
Sb2 0.0000 0.5000 0.5000 [3 per cell]

Most intense lines, 2θ = 10–90°, in order of rising 2θ:
(1 0 0), 2θ = 14.07°, 6.293 Å, rel. 1.6
(1 1 0), 2θ = 19.95°, 4.450 Å, rel. 1.5
(2 0 0), 2θ = 28.37°, 3.146 Å, rel. 100.0
(2 1 0), 2θ = 31.80°, 2.814 Å, rel. 1.0
(2 2 0), 2θ = 40.55°, 2.225 Å, rel. 76.1
(2 2 2), 2θ = 50.22°, 1.817 Å, rel. 27.2
(4 0 0), 2θ = 58.69°, 1.573 Å, rel. 12.7
(4 2 0), 2θ = 66.44°, 1.407 Å, rel. 34.8
(4 2 2), 2θ = 73.76°, 1.285 Å, rel. 25.6
(4 4 0), 2θ = 87.74°, 1.112 Å, rel. 8.4

=====

# 11
Ca2Nd3Bi3: calculated powder diffraction line list (Cu Kα X-rays), based on a cell relaxed with GGA-PBE.

Structural model:
abc: 9.4049 9.4049 6.7108
angles: 90.00 90.00 120.00
Space group P6_3/mcm (No. 193)
Asymmetric unit:
Ca1 0.3333 0.6667 0.0000 [4 per cell]
Nd1 0.0000 0.2429 0.2500 [6 per cell]
Bi1 0.0000 0.3927 0.7500 [6 per cell]

Most intense lines, 2θ = 10–90°, in order of rising 2θ:
(1 1 0), 2θ = 18.87°, 4.702 Å, rel. 29.2
(1 1 1), 2θ = 23.10°, 3.851 Å, rel. 11.5
(0 0 2), 2θ = 26.57°, 3.355 Å, rel. 39.9
(2 1 1), 2θ = 31.99°, 2.798 Å, rel. 100.0
(1 1 2), 2θ = 32.79°, 2.731 Å, rel. 36.5
(3 0 0), 2θ = 32.99°, 2.715 Å, rel. 24.7
(3 1 1), 2θ = 42.21°, 2.141 Å, rel. 21.8
(3 0 2), 2θ = 42.85°, 2.111 Å, rel. 12.3
(2 1 3), 2θ = 50.43°, 1.810 Å, rel. 28.3
(5 0 2), 2θ = 63.48°, 1.465 Å, rel. 17.0

=====

# 12
Tm2Co12P7: calculated powder diffraction line list (Cu Kα X-rays), based on a cell relaxed with GGA-PBE.

Structural model:
abc: 8.9818 8.9818 3.5671
angles: 90.00 90.00 120.00
Space group P-6 (No. 174)
Asymmetric unit:
Tm1 0.0000 0.0000 0.0000 [1 per cell]
Tm2 0.3333 0.6667 0.5000 [1 per cell]
Co1 0.0493 0.7695 0.5000 [3 per cell]
Co2 0.1020 0.3938 0.0000 [3 per cell]
Co3 0.3933 0.2142 0.0000 [3 per cell]
Co4 0.5340 0.0976 0.5000 [3 per cell]
P1 0.0739 0.6265 0.0000 [3 per cell]
P2 0.2630 0.0422 0.5000 [3 per cell]
P3 0.6667 0.3333 0.0000 [1 per cell]

Most intense lines, 2θ = 10–90°, in order of rising 2θ:
(1 0 1), 2θ = 27.51°, 3.242 Å, rel. 12.4
(1 2 0), 2θ = 30.40°, 2.940 Å, rel. 10.5
(3 0 0), 2θ = 34.59°, 2.593 Å, rel. 9.5
(1 2 1), 2θ = 39.73°, 2.269 Å, rel. 100.0
(2 2 0), 2θ = 40.16°, 2.245 Å, rel. 11.2
(0 0 2), 2θ = 51.21°, 1.784 Å, rel. 19.1
(4 1 0), 2θ = 54.02°, 1.697 Å, rel. 17.3
(2 3 1), 2θ = 57.77°, 1.596 Å, rel. 9.3
(4 1 2), 2θ = 77.66°, 1.230 Å, rel. 11.6
(1 2 3), 2θ = 88.76°, 1.102 Å, rel. 9.4

=====

# 13
Cs3Ce2DyTe6: calculated powder diffraction line list (Cu Kα X-rays), based on a cell relaxed with GGA-PBE.

Structural model:
abc: 8.0784 13.9917 9.3205
angles: 90.00 106.80 90.00
Space group C2/m (No. 12)
Asymmetric unit:
Cs1 0.0000 0.0000 0.0000 [2 per cell]
Cs2 0.0000 0.3317 0.0000 [4 per cell]
Ce1 0.0000 0.1665 0.5000 [4 per cell]
Dy1 0.0000 0.5000 0.5000 [2 per cell]
Te1 0.2265 0.3375 0.6921 [8 per cell]
Te2 0.2394 0.0000 0.6928 [4 per cell]

Most intense lines, 2θ = 10–90°, in order of rising 2θ:
(1 3 1), 2θ = 25.76°, 3.458 Å, rel. 100.0
(1 3 2), 2θ = 32.24°, 2.777 Å, rel. 9.2
(2 0 2), 2θ = 34.82°, 2.577 Å, rel. 32.2
(0 6 0), 2θ = 38.61°, 2.332 Å, rel. 37.8
(4 0 0), 2θ = 47.00°, 1.933 Å, rel. 19.3
(2 0 -5), 2θ = 49.69°, 1.835 Å, rel. 8.8
(2 6 2), 2θ = 52.97°, 1.729 Å, rel. 14.8
(3 3 3), 2θ = 57.14°, 1.612 Å, rel. 9.8
(4 6 0), 2θ = 62.40°, 1.488 Å, rel. 18.2
(5 3 1), 2θ = 67.43°, 1.389 Å, rel. 11.7